Computed powder XRD pattern
Compound: TbGe2Pd
Radiation: copper Kα
Structure: the PBE geometry in the Materials Project
Peak positions follow from Bragg's law for the DFT cell and can differ from measured ones.

Atomic structure:
Lattice parameters (Å, degrees): 4.341 8.820 16.526 90.00 90.00 90.00
Space group Immm (No. 71)
Symmetry-distinct sites (fractional):
Tb (0.000, 0.000, 0.202) x4
Tb (0.000, 0.240, 0.000) x4
Ge (0.000, 0.000, 0.425) x4
Ge (0.000, 0.350, 0.198) x8
Ge (0.000, 0.500, 0.426) x4
Pd (0.000, 0.250, 0.352) x8

Principal peaks in the range 15° ≤ 2θ ≤ 90°, in order of rising 2θ:
2theta, d [Å], intensity
33.2, 2.697, 100
34.1, 2.630, 72
38.5, 2.336, 52
40.9, 2.205, 20
41.6, 2.171, 42
54.3, 1.690, 21
58.0, 1.590, 18
69.6, 1.350, 25

---

Computed powder XRD pattern
Compound: SiC
Radiation: copper Kα
Structure: the PBE geometry in the Materials Project
Peak positions follow from Bragg's law for the DFT cell and can differ from measured ones.

Atomic structure:
Lattice parameters (Å, degrees): 3.0993 3.0993 60.6098 90.00 90.00 120.00
Space group R3m (No. 160, hexagonal axes)
Symmetry-distinct sites (fractional):
Si (0.0000, 0.0000, 0.0000) x3
Si (0.0000, 0.0000, 0.0833) x3
Si (0.0000, 0.0000, 0.2082) x3
Si (0.0000, 0.0000, 0.2917) x3
Si (0.0000, 0.0000, 0.4582) x3
Si (0.0000, 0.0000, 0.5833) x3
Si (0.0000, 0.0000, 0.7083) x3
Si (0.0000, 0.0000, 0.8332) x3
C (0.0000, 0.0000, 0.0313) x3
C (0.0000, 0.0000, 0.1146) x3
C (0.0000, 0.0000, 0.2395) x3
C (0.0000, 0.0000, 0.3230) x3
C (0.0000, 0.0000, 0.4895) x3
C (0.0000, 0.0000, 0.6147) x3
C (0.0000, 0.0000, 0.7397) x3
C (0.0000, 0.0000, 0.8645) x3

Principal peaks in the range 15° ≤ 2θ ≤ 90°, in order of rising 2θ:
2theta, d [Å], intensity
34.2, 2.621, 15
35.0, 2.564, 19
35.5, 2.528, 100
36.6, 2.454, 17
37.3, 2.413, 14
41.2, 2.190, 13
59.7, 1.549, 59
71.4, 1.321, 39